Entry 1:
For Cs2ZnBr4, a cell relaxed with GGA-PBE gives the calculated XRD peak list in this record (λ = 1.5418 Å (Cu Kα)).
Lines closer than 0.1° are merged.

Top 12 peaks for 5° ≤ 2θ ≤ 70°, in order of falling intensity:
Position (°2θ), Rel. int.
26.46, 100
28.98, 84
25.50, 80
27.21, 75
22.38, 67
32.16, 56
22.12, 51
34.31, 41
30.81, 40
28.78, 40
45.68, 39
51.22, 37

Structural model:
```
data_Cs2ZnBr4
_chemical_formula_sum 'Cs8 Zn4 Br16'
_space_group_name_H-M_alt 'P n m a'
_space_group_IT_number 62
_cell_length_a 10.4146
_cell_length_b 7.9450
_cell_length_c 13.9714
_cell_angle_alpha 90.00
_cell_angle_beta 90.00
_cell_angle_gamma 90.00
loop_
_space_group_symop_operation_xyz
'x,y,z'
'-x,-y,-z'
'-x+1/2,-y,z+1/2'
'x+1/2,y,-z+1/2'
'x+1/2,-y+1/2,-z+1/2'
'-x+1/2,y+1/2,z+1/2'
'-x,y+1/2,-z'
'x,-y+1/2,z'
loop_
_atom_site_label
_atom_site_type_symbol
_atom_site_fract_x
_atom_site_fract_y
_atom_site_fract_z
Cs1 Cs 0.0231 0.2500 0.1710
Cs2 Cs 0.1366 0.7500 0.3989
Zn1 Zn 0.2363 0.7500 0.0778
Br1 Br 0.0040 0.7500 0.0967
Br2 Br 0.1736 0.0002 0.6521
Br3 Br 0.1919 0.2500 0.4118
```

Entry 2:
For CuBr, a cell relaxed with GGA-PBE gives the calculated XRD peak list in this record (λ = 1.5418 Å (Cu Kα)).
Lines closer than 0.1° are merged.

Top 5 peaks for 5° ≤ 2θ ≤ 70°, in order of falling intensity:
Position (°2θ), Rel. int.
33.40, 100
47.96, 70
59.70, 23
28.82, 1
56.92, 1

Structural model:
```
data_CuBr
_chemical_formula_sum 'Cu4 Br4'
_space_group_name_H-M_alt 'F m -3 m'
_space_group_IT_number 225
_space_group_name_Hall '-F 4 2 3'
_cell_length_a 5.3655
_cell_length_b 5.3655
_cell_length_c 5.3655
_cell_angle_alpha 90.00
_cell_angle_beta 90.00
_cell_angle_gamma 90.00
loop_
_atom_site_label
_atom_site_type_symbol
_atom_site_fract_x
_atom_site_fract_y
_atom_site_fract_z
Cu1 Cu 0.0000 0.0000 0.0000
Br1 Br 0.0000 0.0000 0.5000
```